(1)
Starting from a GGA-PBE-relaxed structure, the X-ray powder pattern of UTa2Ru3 was computed for copper Kα.
Neutral-atom scattering factors, no anomalous dispersion.

Structural model:
```
data_UTa2Ru3
_symmetry_space_group_name_H-M 'P 4/m m m'
_symmetry_Int_Tables_number 123
_symmetry_space_group_name_Hall '-P 4 2'
_cell_length_a 3.1016
_cell_length_b 3.1016
_cell_length_c 10.5593
_cell_angle_alpha 90.00
_cell_angle_beta 90.00
_cell_angle_gamma 90.00
loop_
_atom_site_label
_atom_site_type_symbol
_atom_site_fract_x
_atom_site_fract_y
_atom_site_fract_z
U1 U 0.0000 0.0000 0.0000
Ta1 Ta 0.0000 0.0000 0.3411
Ru1 Ru 0.5000 0.5000 0.1943
Ru2 Ru 0.5000 0.5000 0.5000
```

Peak list (8 most intense, 2θ = 5–70°, by angle)
25.3 deg, d 3.520, intensity 8.6
28.8 deg, d 3.102, intensity 10.7
38.7 deg, d 2.327, intensity 100.0
41.2 deg, d 2.193, intensity 45.2
48.9 deg, d 1.861, intensity 6.4
52.0 deg, d 1.760, intensity 8.7
59.6 deg, d 1.551, intensity 15.3
68.3 deg, d 1.373, intensity 15.5

=====

(2)
Starting from a GGA-PBE-relaxed structure, the X-ray powder pattern of Pr3Ag2Hg2 was computed for copper Kα.
Neutral-atom scattering factors, no anomalous dispersion.

Structural model:
```
data_Pr3Ag2Hg2
_symmetry_space_group_name_H-M 'C 1 2/m 1'
_symmetry_Int_Tables_number 12
_cell_length_a 9.0109
_cell_length_b 5.1784
_cell_length_c 8.6296
_cell_angle_alpha 90.00
_cell_angle_beta 110.00
_cell_angle_gamma 90.00
loop_
_symmetry_equiv_pos_as_xyz
'x,y,z'
'-x,-y,-z'
'-x,y,-z'
'x,-y,z'
'x+1/2,y+1/2,z'
'-x+1/2,-y+1/2,-z'
'-x+1/2,y+1/2,-z'
'x+1/2,-y+1/2,z'
loop_
_atom_site_label
_atom_site_type_symbol
_atom_site_fract_x
_atom_site_fract_y
_atom_site_fract_z
Pr1 Pr 0.0000 0.0000 0.0000
Pr2 Pr 0.0694 0.5000 0.7069
Ag1 Ag 0.2017 0.5000 0.1045
Hg1 Hg 0.1478 0.0000 0.4436
```

Peak list (8 most intense, 2θ = 5–70°, by angle)
32.5 deg, d 2.753, intensity 100.0
32.6 deg, d 2.743, intensity 49.5
34.5 deg, d 2.598, intensity 93.3
34.6 deg, d 2.589, intensity 46.2
48.0 deg, d 1.896, intensity 16.9
48.3 deg, d 1.883, intensity 33.0
60.7 deg, d 1.525, intensity 33.1
62.0 deg, d 1.497, intensity 17.0

=====

Q: Number 1 is which compound?
A: UTa2Ru3